Structure and computed powder diffraction line list of La3Mg3In8 (a PBE-relaxed structure; copper Kα).
Lines closer than 0.1° are merged.

Principal peaks in the range 15 to 90 degrees two-theta, by angle:
2theta  Rel. int.  (hkl)
29.99  40  0 2 4
30.73  100  1 3 0
31.21  100  1 2 3
32.51  55  1 1 4
37.71  55  2 0 0
38.11  24  0 0 6
38.27  27  1 4 1
45.42  29  0 5 3
48.91  24  2 2 4
59.94  31  1 4 7

Atomic structure:
```
data_La3Mg3In8
_cell_length_a 4.7710
_cell_length_b 11.0157
_cell_length_c 14.1692
_cell_angle_alpha 90.00
_cell_angle_beta 90.00
_cell_angle_gamma 90.00
_symmetry_space_group_name_H-M 'I m m m'
_symmetry_Int_Tables_number 71
_symmetry_space_group_name_Hall '-I 2 2'
loop_
_atom_site_label
_atom_site_type_symbol
_atom_site_fract_x
_atom_site_fract_y
_atom_site_fract_z
La1 La 0.0000 0.0000 0.0000
La2 La 0.0000 0.0000 0.2999
Mg1 Mg 0.0000 0.1859 0.5000
Mg2 Mg 0.0000 0.5000 0.0000
In1 In 0.0000 0.2893 0.1395
In2 In 0.0000 0.3681 0.3477
```

---

Structure and computed powder diffraction line list of Li3B4C4 (a PBE-relaxed structure; copper Kα).
Lines closer than 0.1° are merged.

Principal peaks in the range 15 to 90 degrees two-theta, by angle:
2theta  Rel. int.  (hkl)
17.97  4  2 0 1
24.39  100  4 0 0
38.16  6  1 1 -2
45.73  25  5 1 -2
45.91  17  3 1 2
46.19  8  2 0 4
49.98  16  8 0 0
68.83  6  0 2 0
69.24  10  3 1 -6
89.74  10  8 2 0

Atomic structure:
```
data_Li3B4C4
_cell_length_a 15.3749
_cell_length_b 2.7282
_cell_length_c 9.3847
_cell_angle_alpha 90.00
_cell_angle_beta 108.29
_cell_angle_gamma 90.00
_symmetry_space_group_name_H-M 'C 1 m 1'
_symmetry_Int_Tables_number 8
_symmetry_space_group_name_Hall 'C -2y'
loop_
_atom_site_label
_atom_site_type_symbol
_atom_site_fract_x
_atom_site_fract_y
_atom_site_fract_z
Li1 Li 0.0000 0.0000 0.0000
Li2 Li 0.0013 0.5000 0.7265
Li3 Li 0.2456 0.5000 0.3703
Li4 Li 0.2481 0.0000 0.0973
Li5 Li 0.2518 0.5000 0.8240
Li6 Li 0.4931 0.5000 0.4491
B1 B 0.1176 0.0000 0.3629
B2 B 0.1191 0.5000 0.6119
B3 B 0.1250 0.0000 0.8678
B4 B 0.1297 0.5000 0.1225
B5 B 0.3662 0.0000 0.3254
B6 B 0.3692 0.5000 0.0788
B7 B 0.3783 0.5000 0.5833
B8 B 0.3812 0.0000 0.8332
C1 C 0.1145 0.5000 0.4442
C2 C 0.1203 0.0000 0.6979
C3 C 0.1272 0.5000 0.9529
C4 C 0.1300 0.0000 0.2041
C5 C 0.3621 0.5000 0.2414
C6 C 0.3717 0.0000 0.9956
C7 C 0.3756 0.0000 0.4978
C8 C 0.3856 0.5000 0.7534
```

---

Structure and computed powder diffraction line list of La2Tb2Sb2C (a PBE-relaxed structure; copper Kα).
Lines closer than 0.1° are merged.

Principal peaks in the range 15 to 90 degrees two-theta, by angle:
2theta  Rel. int.  (hkl)
28.09  69  1 1 2
32.38  27  0 0 6
33.86  100  1 1 4
36.96  57  2 0 0
49.94  31  2 0 6
53.27  20  2 2 0
61.30  15  3 1 2
62.12  14  1 1 10
63.73  15  2 2 6
64.64  34  3 1 4

Atomic structure:
```
data_La2Tb2Sb2C
_cell_length_a 4.8636
_cell_length_b 4.8636
_cell_length_c 16.5898
_cell_angle_alpha 90.00
_cell_angle_beta 90.00
_cell_angle_gamma 90.00
_symmetry_space_group_name_H-M 'I 4/m m m'
_symmetry_Int_Tables_number 139
_symmetry_space_group_name_Hall '-I 4 2'
loop_
_atom_site_label
_atom_site_type_symbol
_atom_site_fract_x
_atom_site_fract_y
_atom_site_fract_z
La1 La 0.0000 0.0000 0.1623
Tb1 Tb 0.0000 0.5000 0.0000
Sb1 Sb 0.0000 0.0000 0.3655
C1 C 0.0000 0.0000 0.0000
```

---

Structure and computed powder diffraction line list of Dy2Be2CdPd5 (a PBE-relaxed structure; copper Kα).
Lines closer than 0.1° are merged.

Principal peaks in the range 15 to 90 degrees two-theta, by angle:
2theta  Rel. int.  (hkl)
32.84  92  2 1 1
36.65  42  2 2 1
38.27  76  4 1 0
39.01  100  3 1 1
41.65  32  4 2 0
42.35  29  3 2 1
52.15  25  0 0 2
63.36  21  6 0 1
66.52  38  4 1 2
67.33  25  5 4 1

Atomic structure:
```
data_Dy2Be2CdPd5
_cell_length_a 9.6971
_cell_length_b 9.6971
_cell_length_c 3.5077
_cell_angle_alpha 90.00
_cell_angle_beta 90.00
_cell_angle_gamma 90.00
_symmetry_space_group_name_H-M 'P 4/m b m'
_symmetry_Int_Tables_number 127
_symmetry_space_group_name_Hall '-P 4 2ab'
loop_
_atom_site_label
_atom_site_type_symbol
_atom_site_fract_x
_atom_site_fract_y
_atom_site_fract_z
Dy1 Dy 0.1778 0.3222 0.0000
Be1 Be 0.1174 0.6174 0.0000
Cd1 Cd 0.0000 0.0000 0.0000
Pd1 Pd 0.0000 0.5000 0.5000
Pd2 Pd 0.0695 0.7800 0.5000
```

---

Structure and computed powder diffraction line list of ErUNb (a PBE-relaxed structure; copper Kα).
Lines closer than 0.1° are merged.

Principal peaks in the range 15 to 90 degrees two-theta, by angle:
2theta  Rel. int.  (hkl)
28.96  31  0 0 5
32.19  100  0 1 1
33.77  18  1 0 2
34.92  16  0 0 6
36.27  83  0 1 3
39.53  88  1 0 4
56.37  39  1 1 0
57.91  15  0 1 8
64.61  20  1 1 5
71.03  16  0 2 4

Atomic structure:
```
data_ErUNb
_cell_length_a 3.2645
_cell_length_b 3.2645
_cell_length_c 15.4179
_cell_angle_alpha 90.00
_cell_angle_beta 90.00
_cell_angle_gamma 120.00
_symmetry_space_group_name_H-M 'P -3 m 1'
_symmetry_Int_Tables_number 164
_symmetry_space_group_name_Hall '-P 3 2"'
loop_
_atom_site_label
_atom_site_type_symbol
_atom_site_fract_x
_atom_site_fract_y
_atom_site_fract_z
Er1 Er 0.0000 0.0000 0.1055
U1 U 0.3333 0.6667 0.2811
Nb1 Nb 0.3333 0.6667 0.5670
```

---

Structure and computed powder diffraction line list of Rb2Ag2HgCl6 (a PBE-relaxed structure; copper Kα).
Lines closer than 0.1° are merged.

Principal peaks in the range 15 to 90 degrees two-theta, by angle:
2theta  Rel. int.  (hkl)
15.70  49  0 1 2
22.53  100  1 1 0
25.78  54  0 1 5
31.70  33  0 2 4
34.50  33  2 0 5
39.55  23  3 0 0
41.60  41  1 2 5
45.99  32  2 2 0
46.88  22  1 1 9
53.47  15  3 1 5

Atomic structure:
```
data_Rb2Ag2HgCl6
_cell_length_a 7.8936
_cell_length_b 7.8936
_cell_length_c 20.0223
_cell_angle_alpha 90.00
_cell_angle_beta 90.00
_cell_angle_gamma 120.00
_symmetry_space_group_name_H-M 'R -3 m'
_symmetry_Int_Tables_number 166
_symmetry_space_group_name_Hall '-R 3 2"'
loop_
_atom_site_label
_atom_site_type_symbol
_atom_site_fract_x
_atom_site_fract_y
_atom_site_fract_z
Rb1 Rb 0.0000 0.0000 0.2210
Ag1 Ag 0.0000 0.0000 0.4252
Hg1 Hg 0.0000 0.0000 0.0000
Cl1 Cl 0.0295 0.5148 0.7536
```

---

Structure and computed powder diffraction line list of LaGe4O2 (a PBE-relaxed structure; copper Kα).
Lines closer than 0.1° are merged.

Principal peaks in the range 15 to 90 degrees two-theta, by angle:
2theta  Rel. int.  (hkl)
16.70  100  1 0 1
22.15  39  0 0 4
24.98  28  1 1 2
31.81  70  2 0 0
32.10  37  1 0 5
36.14  30  2 1 1
39.11  35  2 0 4
45.61  25  2 2 0
45.82  28  2 1 5
46.87  31  2 0 6

Atomic structure:
```
data_LaGe4O2
_cell_length_a 5.6259
_cell_length_b 5.6259
_cell_length_c 16.0500
_cell_angle_alpha 90.00
_cell_angle_beta 90.00
_cell_angle_gamma 90.00
_symmetry_space_group_name_H-M 'I 4/m m m'
_symmetry_Int_Tables_number 139
_symmetry_space_group_name_Hall '-I 4 2'
loop_
_atom_site_label
_atom_site_type_symbol
_atom_site_fract_x
_atom_site_fract_y
_atom_site_fract_z
La1 La 0.0000 0.0000 0.0000
Ge1 Ge 0.0000 0.0000 0.1904
Ge2 Ge 0.0000 0.5000 0.0000
O1 O 0.0000 0.0000 0.2928
```

---

Structure and computed powder diffraction line list of NpNiP3 (a PBE-relaxed structure; copper Kα).
Lines closer than 0.1° are merged.

Principal peaks in the range 15 to 90 degrees two-theta, by angle:
2theta  Rel. int.  (hkl)
15.58  26  2 0 0
23.47  22  3 0 0
25.19  100  1 1 1
28.67  39  2 1 1
37.59  33  2 2 0
37.77  29  2 0 2
39.62  19  5 0 0
39.91  59  4 1 1
48.97  29  0 2 2
64.77  27  5 2 2

Atomic structure:
```
data_NpNiP3
_cell_length_a 11.3727
_cell_length_b 5.2761
_cell_length_c 5.2466
_cell_angle_alpha 90.00
_cell_angle_beta 90.00
_cell_angle_gamma 90.00
_symmetry_space_group_name_H-M 'P b c m'
_symmetry_Int_Tables_number 57
_symmetry_space_group_name_Hall '-P 2c 2b'
loop_
_atom_site_label
_atom_site_type_symbol
_atom_site_fract_x
_atom_site_fract_y
_atom_site_fract_z
Np1 Np 0.1929 0.0077 0.2500
Ni1 Ni 0.4198 0.7500 0.0000
P1 P 0.0018 0.7500 0.0000
P2 P 0.2746 0.5077 0.2500
P3 P 0.4315 0.1089 0.2500
```